Simulated X-ray diffraction stick pattern
Compound: CaCrAsO5
Radiation: copper Kα
Structure: DFT lattice parameters and positions (GGA+U)

Peak list (10 most intense, 2θ = 15–90°, in order of rising 2θ)
- 2θ = 15.36°, I = 28, hkl 0 1 1
- 2θ = 17.83°, I = 39, hkl 1 0 1
- 2θ = 21.38°, I = 38, hkl 1 1 1
- 2θ = 27.90°, I = 100, hkl 1 2 0
- 2θ = 32.36°, I = 63, hkl 0 1 3
- 2θ = 33.71°, I = 65, hkl 2 1 1
- 2θ = 34.52°, I = 58, hkl 1 2 2
- 2θ = 35.75°, I = 43, hkl 1 1 3
- 2θ = 56.90°, I = 50, hkl 2 3 3
- 2θ = 61.76°, I = 28, hkl 2 1 5

Structural model:
Cell lengths 5.9922, 7.5610, 8.9182 Å; angles 90.00, 90.00, 90.00 degrees
Sites, in units of the cell vectors:
Ca  0.0272  0.1488  0.1700
Ca  0.4728  0.8512  0.6700
Ca  0.5272  0.3512  0.8300
Ca  0.9728  0.6488  0.3300
Cr  0.2449  0.2560  0.5044
Cr  0.2551  0.7440  0.0044
Cr  0.7449  0.2440  0.4956
Cr  0.7551  0.7560  0.9956
As  0.0192  0.6073  0.6912
As  0.4808  0.3927  0.1912
As  0.5192  0.8927  0.3088
As  0.9808  0.1073  0.8088
O  0.0023  0.1238  0.4164
O  0.0081  0.9205  0.9268
O  0.0850  0.7720  0.5698
O  0.2318  0.1337  0.7157
O  0.2481  0.5949  0.8090
O  0.2519  0.4051  0.3090
O  0.2682  0.8663  0.2157
O  0.4150  0.2280  0.0698
O  0.4919  0.0795  0.4268
O  0.4977  0.8762  0.9164
O  0.5023  0.3762  0.5836
O  0.5081  0.5795  0.0732
O  0.5850  0.7280  0.4302
O  0.7318  0.3663  0.2843
O  0.7481  0.9051  0.1910
O  0.7519  0.0949  0.6910
O  0.7682  0.6337  0.7843
O  0.9150  0.2720  0.9302
O  0.9919  0.4205  0.5732
O  0.9977  0.6238  0.0836